Diffraction record for CdIn2Ga3. The PXRD pattern is theoretical, not measured: it uses a crystal structure in Alexandria, relaxed with PBE and Cu Ka.
Peak positions follow from Bragg's law for the DFT cell and can differ from measured ones.

Largest 8 diffraction maxima, low angle first, 2θ = 10–90°:
2θ/deg	I_rel
31.8	34
32.1	100
32.6	56
36.1	26
38.6	30
39.5	50
42.1	20
52.5	15

Atomic structure:
a b c (Å): 5.877 8.260 11.470
angles (deg): 90.00 97.74 90.00
Space group C2/c (No. 15)
Inequivalent atoms, fractional coordinates:
Cd1 0.000 0.170 0.250
In1 0.108 0.144 0.894
Ga1 0.000 0.452 0.750
Ga2 0.135 0.387 0.457